Calculated XRD peak list of Pr12DyY7 for copper Kα, from a GGA-PBE-relaxed structure.
Intensities are scaled so that the largest is 100.

abc: 12.4422 12.4422 15.7512
angles: 90.00 90.00 120.00
Space group R-3 (No. 148, hexagonal axes)
One atom of each set of equivalent atoms:
1 Pr 0.0197 0.5744 0.2190 [18 per cell]
2 Pr 0.0599 0.4676 0.5810 [18 per cell]
3 Dy 0.0000 0.0000 0.5000 [3 per cell]
4 Y 0.0000 0.0000 0.0000 [3 per cell]
5 Y 0.0521 0.8660 0.3006 [18 per cell]

The 12 most intense peaks (2θ from 10° to 80°), most intense first:
2theta, intensity, hkl
30.4, 100, 1 3 1
31.6, 52, 2 1 4
32.0, 51, 4 -1 2
30.1, 33, 0 3 3
53.0, 28, 5 2 0
29.5, 27, 0 1 5
32.9, 23, 2 0 5
37.2, 17, 1 1 6
52.2, 16, 1 4 6
28.1, 15, 0 2 4
63.3, 14, 2 6 2
41.7, 13, 4 -1 5